Computed powder diffractogram of Cs3Au2I9 for Cu Kα, from a DFT-relaxed cell (PBE, Alexandria).
Peak positions follow from Bragg's law for the DFT cell and can differ from measured ones.

Principal peaks in the range 2θ = 5–70°, by intensity:
30.7°, I = 100; 26.5°, I = 52; 43.9°, I = 37; 44.1°, I = 37; 15.2°, I = 29; 21.6°, I = 25; 52.1°, I = 22; 54.7°, I = 19; 26.4°, I = 17; 63.9°, I = 12; 37.9°, I = 10; 12.4°, I = 9

Atomic structure:
```
data_Cs3Au2I9
_cell_length_a 8.2195
_cell_length_b 8.2195
_cell_length_c 10.1351
_cell_angle_alpha 90.00
_cell_angle_beta 90.00
_cell_angle_gamma 120.00
_symmetry_space_group_name_H-M 'P -3 m 1'
_symmetry_Int_Tables_number 164
_symmetry_space_group_name_Hall '-P 3 2"'
loop_
_atom_site_label
_atom_site_fract_x
_atom_site_fract_y
_atom_site_fract_z
_atom_site_occupancy
Cs1 0.0000 0.0000 0.0000 1
Cs2 0.3333 0.6667 0.3440 1
Au1 0.3333 0.6667 0.8298 1
I1 0.0000 0.5000 0.0000 1
I2 0.1674 0.3348 0.6779 1
```

Computed powder diffractogram of Cs8Au2I for Cu Kα, from a DFT-relaxed cell (PBE, Alexandria).
Peak positions follow from Bragg's law for the DFT cell and can differ from measured ones.

Principal peaks in the range 2θ = 5–70°, by intensity:
29.9°, I = 100; 20.6°, I = 69; 38.1°, I = 66; 28.8°, I = 61; 14.8°, I = 58; 14.3°, I = 56; 17.1°, I = 55; 23.0°, I = 41; 25.5°, I = 30; 42.0°, I = 29; 39.1°, I = 29; 52.4°, I = 27

Atomic structure:
```
data_Cs8Au2I
_cell_length_a 11.9564
_cell_length_b 11.9564
_cell_length_c 7.7321
_cell_angle_alpha 90.00
_cell_angle_beta 90.00
_cell_angle_gamma 120.00
_symmetry_space_group_name_H-M 'P -3'
_symmetry_Int_Tables_number 147
loop_
_symmetry_equiv_pos_as_xyz
'x,y,z'
'-x,-y,-z'
'-y,x-y,z'
'y,-x+y,-z'
'-x+y,-x,z'
'x-y,x,-z'
loop_
_atom_site_label
_atom_site_fract_x
_atom_site_fract_y
_atom_site_fract_z
_atom_site_occupancy
Cs1 0.1654 0.8327 0.2405 1
Cs2 0.3333 0.6667 0.7235 1
Au1 0.3333 0.6667 0.2118 1
I1 0.0000 0.0000 0.0000 1
```